# BaSrTbWO6
Simulated powder XRD pattern, λ = 1.5418 Å (Cu Kα). Input: DFT lattice parameters and positions (GGA+U).
Kinematic intensities with the Lorentz-polarization factor, no thermal factor.

Atomic structure:
```
20
Lattice="5.975 0.000 0.000 0.034 5.999 0.000 0.009 0.083 8.422" Properties=species:S:1:pos:R:3 pbc="T T T"
Ba 0.148 2.986 2.094
Ba 5.870 3.096 6.329
Sr 2.885 6.036 6.302
Sr 3.133 0.046 2.120
Tb 0.000 0.000 0.000
Tb 3.009 3.041 4.211
W 0.004 0.041 4.211
W 3.005 2.999 0.000
O 0.061 0.399 6.181
O 1.278 4.483 4.433
O 1.452 4.352 8.134
O 1.637 1.260 3.931
O 1.794 1.396 0.255
O 3.011 2.662 6.458
O 3.007 3.419 1.965
O 4.224 4.685 8.167
O 4.381 4.821 4.491
O 4.565 1.729 0.288
O 4.740 1.598 3.989
O 5.957 5.682 2.242
```

Main lines, by angle (2θ from 10° to 90°):
d 4.216, intensity 19.4, (1 -1 0); d 3.000, intensity 100.0, (1 1 2); d 2.989, intensity 99.0, (2 0 0); d 2.975, intensity 98.9, (1 1 -2); d 2.123, intensity 27.3, (2 2 0); d 2.111, intensity 26.4, (2 -2 0); d 2.106, intensity 27.1, (0 0 4); d 1.731, intensity 31.8, (0 2 4); d 1.724, intensity 30.8, (1 3 -2); d 1.721, intensity 42.3, (1 -3 2)